(1)
Calculated powder XRD pattern of YMn2P2 for copper Kα, from a crystal structure in Alexandria, relaxed with PBE.

Atomic structure:
```
5
Lattice="3.8228 0.0000 0.0000 -1.9114 3.3106 0.0000 0.0000 0.0000 6.5112" Properties=species:S:1:pos:R:3 pbc="T T T"
Y 0.0000 0.0000 0.0000
Mn 0.0000 2.2071 4.0642
Mn 1.9114 1.1035 2.4470
P 0.0000 2.2071 1.7891
P 1.9114 1.1035 4.7221
```

Most intense lines, 2θ from 10° to 90°, in order of rising 2θ:
| d_spacing | two_theta | I_rel | h k l |
| --- | --- | --- | --- |
| 2.951 | 30.29 | 100 | 1 0 1 |
| 2.321 | 38.79 | 56 | 0 1 2 |
| 2.170 | 41.61 | 14 | 0 0 3 |
| 1.911 | 47.57 | 50 | 1 1 0 |
| 1.815 | 50.27 | 18 | 1 0 3 |
| 1.604 | 57.44 | 15 | 0 2 1 |
| 1.476 | 63.00 | 12 | 2 0 2 |
| 1.434 | 65.02 | 21 | 1 1 3 |

***

(2)
Calculated powder XRD pattern of Ba2SmGaTe5 for copper Kα, from a crystal structure in Alexandria, relaxed with PBE.

Atomic structure:
```
18
Lattice="7.9213 0.0000 0.0000 -2.8026 8.9489 0.0000 -2.3095 -3.2038 9.4413" Properties=species:S:1:pos:R:3 pbc="T T T"
Ba -0.9218 3.3707 2.7778
Ba -2.2820 7.8929 2.7159
Ba 5.0911 -2.1478 6.7254
Ba 3.7310 2.3744 6.6635
Sm 0.9943 -1.1102 9.4234
Sm 1.8149 6.8553 0.0178
Ga -0.1825 1.1399 6.5010
Ga 2.9917 4.6052 2.9403
Te -3.1914 5.1625 4.8008
Te -3.1697 5.1016 8.8915
Te -1.6623 0.6797 8.7621
Te 1.8084 -0.6082 6.4026
Te 0.4418 3.7137 6.4404
Te 2.3674 2.0314 3.0008
Te 1.0008 6.3533 3.0386
Te 4.4715 5.0654 0.6791
Te 5.9789 0.6435 0.5498
Te 6.0005 0.5826 4.6405
```

Most intense lines, 2θ from 10° to 90°, in order of rising 2θ:
| d_spacing | two_theta | I_rel | h k l |
| --- | --- | --- | --- |
| 3.429 | 25.99 | 100 | 1 2 -1 |
| 3.292 | 27.09 | 47 | 1 0 -3 |
| 3.183 | 28.03 | 34 | 2 -2 1 |
| 3.169 | 28.16 | 34 | 1 2 0 |
| 3.147 | 28.36 | 28 | 0 0 3 |
| 2.837 | 31.53 | 26 | 1 2 -3 |
| 2.756 | 32.49 | 23 | 1 -2 3 |
| 2.344 | 38.40 | 50 | 1 -4 1 |

***

(3)
Calculated powder XRD pattern of In2O3 for copper Kα, from a crystal structure in Alexandria, relaxed with PBE.

Atomic structure:
```
40
Lattice="5.5887 0.0000 0.0000 0.0000 5.7793 0.0000 0.0000 0.0000 16.1679" Properties=species:S:1:pos:R:3 pbc="T T T"
In 0.0016 1.1689 1.1435
In 0.0016 1.7208 9.2275
In 5.5871 4.0586 6.9404
In 5.5871 4.6104 15.0244
In 0.0144 1.4123 13.2288
In 0.0144 1.4774 5.1448
In 2.7799 4.3020 13.2288
In 2.7799 4.3670 5.1448
In 2.7959 1.1689 6.9404
In 2.7959 1.7208 15.0244
In 2.7928 4.0586 1.1435
In 2.7928 4.6104 9.2275
In 2.8088 1.4123 11.0231
In 2.8088 1.4774 2.9391
In 5.5743 4.3020 11.0231
In 5.5743 4.3670 2.9391
O 0.7870 0.7039 3.2611
O 0.7870 2.1858 11.3451
O 0.8189 3.8098 8.9299
O 0.8189 4.8592 0.8460
O 1.1541 3.0380 14.1493
O 1.1541 5.6310 6.0654
O 1.6402 0.1483 14.1493
O 1.6402 2.7413 6.0654
O 1.9754 0.9202 8.9299
O 1.9754 1.9695 0.8460
O 2.0073 3.5935 3.2611
O 2.0073 5.0755 11.3451
O 3.5814 0.7039 4.8228
O 3.5814 2.1858 12.9068
O 3.6133 3.8098 15.3219
O 3.6133 4.8592 7.2380
O 3.9485 3.0380 10.1025
O 3.9485 5.6310 2.0186
O 4.4346 0.1483 10.1025
O 4.4346 2.7413 2.0186
O 4.7698 0.9202 15.3219
O 4.7698 1.9695 7.2380
O 4.8017 3.5935 4.8228
O 4.8017 5.0755 12.9068
```

Most intense lines, 2θ from 10° to 90°, in order of rising 2θ:
| d_spacing | two_theta | I_rel | h k l |
| --- | --- | --- | --- |
| 2.890 | 30.95 | 24 | 0 2 0 |
| 2.849 | 31.39 | 100 | 1 1 4 |
| 2.794 | 32.03 | 24 | 2 0 0 |
| 2.021 | 44.85 | 11 | 0 0 8 |
| 2.009 | 45.14 | 20 | 2 2 0 |
| 1.660 | 55.33 | 16 | 1 3 4 |
| 1.638 | 56.17 | 11 | 2 0 8 |
| 1.624 | 56.69 | 24 | 3 1 4 |